1.
The following is a computed X-ray powder pattern of CsTe2PbO8. It was derived from a GGA-PBE-relaxed structure, using CuKα.
Peak positions follow from Bragg's law for the DFT cell and can differ from measured ones.

Most intense lines, 5 to 70 degrees two-theta, in order of rising 2θ:
hkl  two_theta  d/Å  Rel. int.
0 0 1  12.12  7.300  71
1 1 1  22.92  3.881  100
2 0 -2  23.97  3.713  45
3 1 -1  28.89  3.090  83
0 2 0  29.13  3.065  41
3 1 1  37.02  2.428  18
2 2 -2  38.07  2.364  19
1 1 3  44.20  2.049  16
4 2 0  47.20  1.926  16
3 3 -1  51.50  1.775  17

Crystal structure
Lattice parameters (Å, degrees): 10.758 6.131 7.933 90.00 113.04 90.00
Space group C2/m (No. 12)
Unique sites:
Cs 0.000 0.000 0.000 (multiplicity 2)
Te 0.213 0.000 0.641 (multiplicity 4)
Pb 0.000 0.500 0.500 (multiplicity 2)
O 0.098 0.500 0.263 (multiplicity 4)
O 0.141 0.240 0.717 (multiplicity 8)
O 0.158 0.000 0.394 (multiplicity 4)

***

2.
The following is a computed X-ray powder pattern of Er8TmHg2. It was derived from a GGA-PBE-relaxed structure, using CuKα.
Peak positions follow from Bragg's law for the DFT cell and can differ from measured ones.

Most intense lines, 5 to 70 degrees two-theta, in order of rising 2θ:
hkl  two_theta  d/Å  Rel. int.
1 3 1  29.82  2.996  45
0 4 1  29.99  2.980  75
3 1 -1  31.73  2.820  95
2 0 1  32.32  2.770  49
2 4 0  32.65  2.742  77
1 1 -2  33.53  2.672  48
1 5 -1  35.05  2.560  100
3 3 0  37.51  2.397  26
1 1 3  59.51  1.553  28
2 8 1  60.50  1.530  45

Crystal structure
Lattice parameters (Å, degrees): 8.799 14.684 5.440 90.00 110.35 90.00
Space group C2/m (No. 12)
Unique sites:
Er 0.000 0.224 0.000 (multiplicity 4)
Er 0.105 0.500 0.800 (multiplicity 4)
Er 0.205 0.115 0.606 (multiplicity 8)
Tm 0.000 0.000 0.000 (multiplicity 2)
Hg 0.000 0.307 0.500 (multiplicity 4)

***

3.
The following is a computed X-ray powder pattern of NpFeNiGe2. It was derived from a GGA-PBE-relaxed structure, using CuKα.
Peak positions follow from Bragg's law for the DFT cell and can differ from measured ones.

Most intense lines, 5 to 70 degrees two-theta, in order of rising 2θ:
hkl  two_theta  d/Å  Rel. int.
0 0 2  17.31  5.123  11
1 0 1  24.08  3.695  33
1 1 0  31.95  2.801  35
1 0 3  34.68  2.587  100
1 1 2  36.56  2.458  94
2 0 0  45.81  1.981  51
1 0 5  50.12  1.820  34
2 1 3  58.70  1.573  45
1 1 6  63.84  1.458  19
2 2 0  66.78  1.401  16

Crystal structure
Lattice parameters (Å, degrees): 3.962 3.962 10.246 90.00 90.00 90.00
Space group I-4m2 (No. 119)
Unique sites:
Np 0.000 0.000 0.000 (multiplicity 2)
Fe 0.000 0.500 0.250 (multiplicity 2)
Ni 0.000 0.500 0.750 (multiplicity 2)
Ge 0.000 0.000 0.374 (multiplicity 4)

***

4.
The following is a computed X-ray powder pattern of Rb4P. It was derived from a GGA-PBE-relaxed structure, using CuKα.
Peak positions follow from Bragg's law for the DFT cell and can differ from measured ones.

Most intense lines, 5 to 70 degrees two-theta, in order of rising 2θ:
hkl  two_theta  d/Å  Rel. int.
1 0 0  9.99  8.850  88
2 0 0  20.07  4.425  62
0 0 2  20.58  4.316  63
2 1 1  24.75  3.598  100
2 0 2  28.90  3.090  85
2 1 2  30.65  2.917  27
3 1 1  33.66  2.662  40
3 2 1  38.12  2.361  24
2 1 3  38.69  2.327  30
5 1 1  53.88  1.702  34

Crystal structure
Lattice parameters (Å, degrees): 8.850 8.850 8.633 90.00 90.00 90.00
Space group P4/mcc (No. 124)
Unique sites:
Rb 0.160 0.260 0.000 (multiplicity 8)
P 0.000 0.000 0.250 (multiplicity 2)